# 1
Diffraction record for DyY4Tm. The powder X-ray diffraction pattern is calculated, not measured: it uses a structure optimized by DFT (PBE) and Cu Kα, 1.54184 Å.

Structure:
```
data_DyY4Tm
_space_group_name_H-M_alt 'P 1 21/c 1'
_space_group_IT_number 14
_cell_length_a 6.9890
_cell_length_b 9.6924
_cell_length_c 5.6169
_cell_angle_alpha 90.00
_cell_angle_beta 90.04
_cell_angle_gamma 90.00
loop_
_space_group_symop_operation_xyz
'x,y,z'
'-x,-y,-z'
'-x,y+1/2,-z+1/2'
'x,-y+1/2,z+1/2'
loop_
_atom_site_label
_atom_site_type_symbol
_atom_site_fract_x
_atom_site_fract_y
_atom_site_fract_z
Dy1 Dy 0.0000 0.0000 0.0000
Y1 Y 0.2512 0.1593 0.5006
Y2 Y 0.2518 0.6744 0.0009
Tm1 Tm 0.5000 0.0000 0.0000
```

Top 6 peaks for 15° ≤ 2θ ≤ 90°, low angle first:
4.855 Å, I 14.7, hkl 0 1 1; 2.836 Å, I 100.0, hkl 2 2 0; 2.803 Å, I 88.7, hkl 0 0 2; 1.995 Å, I 24.2, hkl 2 2 2; 1.624 Å, I 24.6, hkl 2 5 1; 1.483 Å, I 25.0, hkl 4 0 2

***

# 2
Diffraction record for Al5Ag7. The powder X-ray diffraction pattern is calculated, not measured: it uses a structure optimized by DFT (PBE) and Cu Kα, 1.54184 Å.

Structure:
```
data_Al5Ag7
_space_group_name_H-M_alt 'C 1 2 1'
_space_group_IT_number 5
_cell_length_a 14.3369
_cell_length_b 5.7270
_cell_length_c 4.9784
_cell_angle_alpha 90.00
_cell_angle_beta 92.51
_cell_angle_gamma 90.00
loop_
_space_group_symop_operation_xyz
'x,y,z'
'-x,y,-z'
'x+1/2,y+1/2,z'
'-x+1/2,y+1/2,-z'
loop_
_atom_site_label
_atom_site_type_symbol
_atom_site_fract_x
_atom_site_fract_y
_atom_site_fract_z
Al1 Al 0.0000 0.0000 0.0000
Al2 Al 0.1643 0.7365 0.1526
Al3 Al 0.1635 0.9964 0.6565
Ag1 Ag 0.0000 0.2437 0.5000
Ag2 Ag 0.0000 0.5061 0.0000
Ag3 Ag 0.0000 0.7559 0.5000
Ag4 Ag 0.1664 0.2350 0.1427
Ag5 Ag 0.1731 0.4995 0.6426
```

Top 6 peaks for 15° ≤ 2θ ≤ 90°, low angle first:
5.318 Å, I 24.8, hkl 1 1 0; 3.665 Å, I 27.3, hkl 3 1 0; 2.385 Å, I 100.0, hkl 6 0 0; 2.329 Å, I 95.0, hkl 2 2 1; 2.061 Å, I 63.8, hkl 4 2 -1; 2.002 Å, I 29.2, hkl 4 0 2

***

# 3
Diffraction record for CeEr3H8. The powder X-ray diffraction pattern is calculated, not measured: it uses a structure optimized by DFT (PBE) and Cu Kα, 1.54184 Å.

Structure:
```
data_CeEr3H8
_space_group_name_H-M_alt 'P m -3 m'
_space_group_IT_number 221
_space_group_name_Hall '-P 4 2 3'
_cell_length_a 5.2002
_cell_length_b 5.2002
_cell_length_c 5.2002
_cell_angle_alpha 90.00
_cell_angle_beta 90.00
_cell_angle_gamma 90.00
loop_
_atom_site_label
_atom_site_type_symbol
_atom_site_fract_x
_atom_site_fract_y
_atom_site_fract_z
Ce1 Ce 0.0000 0.0000 0.0000
Er1 Er 0.0000 0.5000 0.5000
H1 H 0.2588 0.2588 0.2588
```

Top 6 peaks for 15° ≤ 2θ ≤ 90°, low angle first:
3.002 Å, I 100.0, hkl 1 1 1; 2.600 Å, I 49.0, hkl 2 0 0; 1.839 Å, I 37.6, hkl 2 2 0; 1.568 Å, I 43.8, hkl 3 1 1; 1.193 Å, I 17.9, hkl 3 3 1; 1.163 Å, I 16.5, hkl 4 2 0